RbPuZrO6: computed powder diffraction line list (Cu Ka), based on DFT lattice parameters and positions (GGA-PBE).
Neutral-atom scattering factors, no anomalous dispersion.

Structure:
a = 7.733 Å, b = 7.733 Å, c = 7.733 Å
α = 121.14°, β = 118.17°, γ = 90.61°
Sites, in units of the cell vectors:
Rb1 0.350 0.100 0.250
Rb2 0.650 0.900 0.750
Pu1 0.000 0.500 0.500
Pu2 0.500 0.500 0.000
Zr1 0.000 0.000 0.500
Zr2 0.000 0.500 0.000
O1 0.067 0.437 0.262
O2 0.067 0.805 0.630
O3 0.070 0.820 0.250
O4 0.314 0.564 0.750
O5 0.325 0.195 0.762
O6 0.325 0.563 0.130
O7 0.675 0.437 0.870
O8 0.675 0.805 0.238
O9 0.686 0.436 0.250
O10 0.930 0.180 0.750
O11 0.933 0.195 0.370
O12 0.933 0.563 0.738

The 8 most intense peaks (2θ = 5–70°), sorted by position:
- 14.2°, d 6.230, I = 81
- 16.3°, d 5.439, I = 23
- 26.6°, d 3.350, I = 100
- 27.3°, d 3.271, I = 55
- 27.8°, d 3.208, I = 42
- 28.7°, d 3.115, I = 53
- 43.2°, d 2.096, I = 20
- 47.0°, d 1.932, I = 41

***

PuRh3O8: computed powder diffraction line list (Cu Ka), based on DFT lattice parameters and positions (GGA-PBE).
Neutral-atom scattering factors, no anomalous dispersion.

Structure:
a = 5.110 Å, b = 5.110 Å, c = 6.361 Å
α = 90.00°, β = 90.00°, γ = 120.00°
Sites, in units of the cell vectors:
Pu1 0.000 0.000 0.000
Rh1 0.000 0.000 0.500
Rh2 0.333 0.667 0.500
Rh3 0.667 0.333 0.500
O1 0.000 0.328 0.675
O2 0.000 0.672 0.325
O3 0.328 0.000 0.675
O4 0.328 0.328 0.325
O5 0.333 0.667 0.000
O6 0.667 0.333 0.000
O7 0.672 0.000 0.325
O8 0.672 0.672 0.675

The 8 most intense peaks (2θ = 5–70°), sorted by position:
- 20.1°, d 4.426, I = 52
- 24.5°, d 3.633, I = 63
- 28.1°, d 3.181, I = 46
- 34.7°, d 2.583, I = 27
- 35.1°, d 2.555, I = 79
- 45.5°, d 1.992, I = 100
- 63.0°, d 1.475, I = 22
- 69.6°, d 1.350, I = 26

***

SmPuRhO6: computed powder diffraction line list (Cu Ka), based on DFT lattice parameters and positions (GGA-PBE).
Neutral-atom scattering factors, no anomalous dispersion.

Structure:
a = 5.287 Å, b = 5.287 Å, c = 10.480 Å
α = 90.00°, β = 90.00°, γ = 120.00°
Sites, in units of the cell vectors:
Sm1 0.000 0.000 0.000
Sm2 0.000 0.000 0.500
Pu1 0.333 0.667 0.250
Pu2 0.667 0.333 0.750
Rh1 0.333 0.667 0.750
Rh2 0.667 0.333 0.250
O1 0.008 0.354 0.639
O2 0.008 0.654 0.861
O3 0.346 0.354 0.861
O4 0.346 0.992 0.639
O5 0.354 0.008 0.139
O6 0.354 0.346 0.361
O7 0.646 0.654 0.639
O8 0.646 0.992 0.861
O9 0.654 0.008 0.361
O10 0.654 0.646 0.139
O11 0.992 0.346 0.139
O12 0.992 0.646 0.361

The 8 most intense peaks (2θ = 5–70°), sorted by position:
- 16.9°, d 5.240, I = 19
- 21.2°, d 4.196, I = 17
- 25.8°, d 3.448, I = 100
- 33.9°, d 2.643, I = 47
- 43.1°, d 2.098, I = 25
- 48.9°, d 1.861, I = 49
- 56.0°, d 1.643, I = 24
- 60.7°, d 1.526, I = 15

***

PuZrRhO6: computed powder diffraction line list (Cu Ka), based on DFT lattice parameters and positions (GGA-PBE).
Neutral-atom scattering factors, no anomalous dispersion.

Structure:
a = 5.505 Å, b = 5.505 Å, c = 8.635 Å
α = 90.00°, β = 90.00°, γ = 120.00°
Sites, in units of the cell vectors:
Pu1 0.333 0.667 0.250
Pu2 0.667 0.333 0.750
Zr1 0.333 0.667 0.750
Zr2 0.667 0.333 0.250
Rh1 0.000 0.000 0.000
Rh2 0.000 0.000 0.500
O1 0.003 0.328 0.625
O2 0.003 0.675 0.875
O3 0.325 0.328 0.875
O4 0.325 0.997 0.625
O5 0.328 0.003 0.125
O6 0.328 0.325 0.375
O7 0.672 0.675 0.625
O8 0.672 0.997 0.875
O9 0.675 0.003 0.375
O10 0.675 0.672 0.125
O11 0.997 0.325 0.125
O12 0.997 0.672 0.375

The 8 most intense peaks (2θ = 5–70°), sorted by position:
- 21.3°, d 4.174, I = 36
- 27.9°, d 3.200, I = 100
- 32.5°, d 2.753, I = 67
- 38.8°, d 2.321, I = 32
- 43.4°, d 2.087, I = 30
- 54.0°, d 1.699, I = 50
- 55.2°, d 1.663, I = 30
- 58.0°, d 1.589, I = 23

***

Pu4SO5: computed powder diffraction line list (Cu Ka), based on DFT lattice parameters and positions (GGA-PBE).
Neutral-atom scattering factors, no anomalous dispersion.

Structure:
a = 7.276 Å, b = 8.787 Å, c = 5.655 Å
α = 90.00°, β = 90.00°, γ = 90.00°
Sites, in units of the cell vectors:
Pu1 0.011 0.250 0.016
Pu2 0.250 0.026 0.520
Pu3 0.250 0.474 0.520
Pu4 0.489 0.250 0.016
Pu5 0.511 0.750 0.984
Pu6 0.750 0.526 0.480
Pu7 0.750 0.974 0.480
Pu8 0.989 0.750 0.984
S1 0.250 0.750 0.312
S2 0.750 0.250 0.688
O1 0.003 0.561 0.732
O2 0.003 0.939 0.732
O3 0.250 0.250 0.748
O4 0.497 0.561 0.732
O5 0.497 0.939 0.732
O6 0.503 0.061 0.268
O7 0.503 0.439 0.268
O8 0.750 0.750 0.252
O9 0.997 0.061 0.268
O10 0.997 0.439 0.268

The 8 most intense peaks (2θ = 5–70°), sorted by position:
- 25.7°, d 3.470, I = 100
- 29.2°, d 3.060, I = 78
- 31.6°, d 2.828, I = 24
- 31.9°, d 2.802, I = 47
- 45.6°, d 1.990, I = 51
- 51.2°, d 1.784, I = 28
- 52.8°, d 1.733, I = 25
- 57.2°, d 1.611, I = 22

***

PuThS2O: computed powder diffraction line list (Cu Ka), based on DFT lattice parameters and positions (GGA-PBE).
Neutral-atom scattering factors, no anomalous dispersion.

Structure:
a = 3.960 Å, b = 3.960 Å, c = 13.507 Å
α = 90.00°, β = 90.00°, γ = 90.00°
Sites, in units of the cell vectors:
Pu1 0.250 0.250 0.089
Pu2 0.750 0.750 0.911
Th1 0.250 0.250 0.609
Th2 0.750 0.750 0.391
S1 0.250 0.250 0.386
S2 0.250 0.250 0.810
S3 0.750 0.750 0.190
S4 0.750 0.750 0.614
O1 0.250 0.750 0.000
O2 0.750 0.250 0.000

The 8 most intense peaks (2θ = 5–70°), sorted by position:
- 13.1°, d 6.753, I = 18
- 26.1°, d 3.416, I = 100
- 26.4°, d 3.377, I = 23
- 32.0°, d 2.800, I = 56
- 34.9°, d 2.569, I = 30
- 41.9°, d 2.155, I = 33
- 45.8°, d 1.980, I = 24
- 53.5°, d 1.713, I = 31

***

Pu3Sb2O2: computed powder diffraction line list (Cu Ka), based on DFT lattice parameters and positions (GGA-PBE).
Neutral-atom scattering factors, no anomalous dispersion.

Structure:
a = 6.480 Å, b = 6.480 Å, c = 7.446 Å
α = 119.94°, β = 119.94°, γ = 36.00°
Sites, in units of the cell vectors:
Pu1 0.000 0.000 0.000
Pu2 0.196 0.196 0.762
Pu3 0.804 0.804 0.238
Sb1 0.434 0.434 0.646
Sb2 0.566 0.566 0.354
O1 0.203 0.203 0.080
O2 0.797 0.797 0.920

The 8 most intense peaks (2θ = 5–70°), sorted by position:
- 29.2°, d 3.056, I = 54
- 29.9°, d 2.987, I = 100
- 34.6°, d 2.591, I = 66
- 36.6°, d 2.457, I = 26
- 40.2°, d 2.242, I = 16
- 45.3°, d 2.002, I = 20
- 49.0°, d 1.859, I = 23
- 54.8°, d 1.675, I = 19

***

Pu2SbSe2O2: computed powder diffraction line list (Cu Ka), based on DFT lattice parameters and positions (GGA-PBE).
Neutral-atom scattering factors, no anomalous dispersion.

Structure:
a = 3.703 Å, b = 3.703 Å, c = 14.065 Å
α = 90.00°, β = 90.00°, γ = 120.00°
Sites, in units of the cell vectors:
Pu1 0.333 0.667 0.264
Pu2 0.667 0.333 0.736
Sb1 0.000 0.000 0.500
Se1 0.000 0.000 0.133
Se2 0.000 0.000 0.867
O1 0.333 0.667 0.696
O2 0.667 0.333 0.304

The 8 most intense peaks (2θ = 5–70°), sorted by position:
- 12.6°, d 7.032, I = 100
- 25.3°, d 3.516, I = 24
- 28.5°, d 3.127, I = 88
- 30.6°, d 2.918, I = 66
- 33.9°, d 2.647, I = 100
- 42.8°, d 2.115, I = 32
- 48.1°, d 1.893, I = 25
- 49.2°, d 1.852, I = 43

***

PuScTe2O: computed powder diffraction line list (Cu Ka), based on DFT lattice parameters and positions (GGA-PBE).
Neutral-atom scattering factors, no anomalous dispersion.

Structure:
a = 4.076 Å, b = 4.076 Å, c = 14.846 Å
α = 90.00°, β = 90.00°, γ = 90.00°
Sites, in units of the cell vectors:
Pu1 0.250 0.250 0.076
Pu2 0.750 0.750 0.924
Sc1 0.250 0.250 0.615
Sc2 0.750 0.750 0.385
Te1 0.250 0.250 0.408
Te2 0.250 0.250 0.804
Te3 0.750 0.750 0.196
Te4 0.750 0.750 0.592
O1 0.250 0.750 0.000
O2 0.750 0.250 0.000

The 8 most intense peaks (2θ = 5–70°), sorted by position:
- 6.0°, d 14.846, I = 79
- 28.4°, d 3.146, I = 100
- 31.0°, d 2.882, I = 71
- 32.6°, d 2.744, I = 32
- 37.5°, d 2.400, I = 17
- 44.5°, d 2.038, I = 30
- 48.5°, d 1.877, I = 16
- 53.6°, d 1.710, I = 44

***

PuScZn2O6: computed powder diffraction line list (Cu Ka), based on DFT lattice parameters and positions (GGA-PBE).
Neutral-atom scattering factors, no anomalous dispersion.

Structure:
a = 5.799 Å, b = 5.799 Å, c = 5.799 Å
α = 55.46°, β = 55.46°, γ = 55.46°
Sites, in units of the cell vectors:
Pu1 0.000 0.000 0.000
Sc1 0.498 0.498 0.498
Zn1 0.218 0.218 0.218
Zn2 0.712 0.712 0.712
O1 0.101 0.778 0.398
O2 0.283 0.598 0.894
O3 0.398 0.101 0.778
O4 0.598 0.894 0.283
O5 0.778 0.398 0.101
O6 0.894 0.283 0.598

The 8 most intense peaks (2θ = 5–70°), sorted by position:
- 19.9°, d 4.454, I = 68
- 22.6°, d 3.942, I = 44
- 31.0°, d 2.886, I = 100
- 33.2°, d 2.699, I = 81
- 38.1°, d 2.363, I = 37
- 46.1°, d 1.971, I = 38
- 50.4°, d 1.812, I = 37
- 57.9°, d 1.592, I = 36

***

Pu5Se5O: computed powder diffraction line list (Cu Ka), based on DFT lattice parameters and positions (GGA-PBE).
Neutral-atom scattering factors, no anomalous dispersion.

Structure:
a = 7.036 Å, b = 7.036 Å, c = 7.970 Å
α = 107.29°, β = 107.29°, γ = 48.02°
Sites, in units of the cell vectors:
Pu1 0.000 0.000 0.000
Pu2 0.348 0.348 0.692
Pu3 0.353 0.353 0.152
Pu4 0.647 0.647 0.848
Pu5 0.652 0.652 0.308
Se1 0.164 0.164 0.827
Se2 0.183 0.183 0.332
Se3 0.500 0.500 0.500
Se4 0.817 0.817 0.668
Se5 0.836 0.836 0.173
O1 0.500 0.500 0.000

The 8 most intense peaks (2θ = 5–70°), sorted by position:
- 27.0°, d 3.307, I = 31
- 27.3°, d 3.270, I = 31
- 31.2°, d 2.863, I = 100
- 31.8°, d 2.818, I = 47
- 44.8°, d 2.025, I = 50
- 45.1°, d 2.008, I = 36
- 55.6°, d 1.654, I = 17
- 56.3°, d 1.635, I = 19

***

Pu3Se2O2: computed powder diffraction line list (Cu Ka), based on DFT lattice parameters and positions (GGA-PBE).
Neutral-atom scattering factors, no anomalous dispersion.

Structure:
a = 6.703 Å, b = 7.381 Å, c = 6.783 Å
α = 90.00°, β = 112.00°, γ = 90.00°
Sites, in units of the cell vectors:
Pu1 0.000 0.000 0.000
Pu2 0.000 0.500 0.500
Pu3 0.437 0.125 0.757
Pu4 0.437 0.375 0.257
Pu5 0.563 0.625 0.743
Pu6 0.563 0.875 0.243
Se1 0.208 0.649 0.931
Se2 0.208 0.851 0.431
Se3 0.792 0.149 0.569
Se4 0.792 0.351 0.069
O1 0.337 0.115 0.050
O2 0.337 0.385 0.550
O3 0.663 0.615 0.450
O4 0.663 0.885 0.950

The 8 most intense peaks (2θ = 5–70°), sorted by position:
- 18.5°, d 4.787, I = 29
- 26.5°, d 3.358, I = 82
- 28.0°, d 3.181, I = 100
- 29.5°, d 3.031, I = 86
- 34.0°, d 2.637, I = 64
- 36.5°, d 2.459, I = 50
- 41.8°, d 2.160, I = 26
- 47.2°, d 1.927, I = 27

***

Pu4Se3O2: computed powder diffraction line list (Cu Ka), based on DFT lattice parameters and positions (GGA-PBE).
Neutral-atom scattering factors, no anomalous dispersion.

Structure:
a = 8.072 Å, b = 8.072 Å, c = 6.328 Å
α = 90.27°, β = 90.27°, γ = 75.78°
Sites, in units of the cell vectors:
Pu1 0.055 0.707 0.528
Pu2 0.261 0.417 0.071
Pu3 0.293 0.945 0.972
Pu4 0.417 0.261 0.571
Pu5 0.583 0.739 0.429
Pu6 0.707 0.055 0.028
Pu7 0.739 0.583 0.929
Pu8 0.945 0.293 0.472
Se1 0.013 0.754 0.036
Se2 0.246 0.987 0.464
Se3 0.400 0.600 0.750
Se4 0.600 0.400 0.250
Se5 0.754 0.013 0.536
Se6 0.987 0.246 0.964
O1 0.168 0.422 0.412
O2 0.422 0.168 0.912
O3 0.578 0.832 0.088
O4 0.832 0.578 0.588

The 8 most intense peaks (2θ = 5–70°), sorted by position:
- 26.8°, d 3.325, I = 100
- 28.0°, d 3.185, I = 43
- 28.2°, d 3.164, I = 43
- 31.3°, d 2.855, I = 40
- 31.5°, d 2.841, I = 25
- 36.4°, d 2.470, I = 29
- 40.1°, d 2.249, I = 33
- 40.3°, d 2.238, I = 28